Theoretical powder diffractogram
Compound: Ce3PrH8
Radiation: Cu Ka
Structure: a DFT-relaxed cell (GGA-PBE, Alexandria)
Kinematic intensities with the Lorentz-polarization factor, no thermal factor.

Atomic structure:
Unit cell a=5.4732 b=5.4732 c=5.4732 alpha=90.00 beta=90.00 gamma=90.00
Atoms (fractional coordinates):
Ce (0.0000, 0.0000, 0.5000)
Ce (0.0000, 0.5000, 0.0000)
Ce (0.5000, 0.0000, 0.0000)
Pr (0.5000, 0.5000, 0.5000)
H (0.2474, 0.2474, 0.2474)
H (0.2474, 0.2474, 0.7526)
H (0.2474, 0.7526, 0.2474)
H (0.2474, 0.7526, 0.7526)
H (0.7526, 0.2474, 0.2474)
H (0.7526, 0.2474, 0.7526)
H (0.7526, 0.7526, 0.2474)
H (0.7526, 0.7526, 0.7526)

Principal peaks in the range 5 to 70 degrees two-theta, low angle first:
28.24 deg, intensity 100.0, hkl 1 1 1; 32.72 deg, intensity 48.8, hkl 2 0 0; 46.96 deg, intensity 38.3, hkl 2 2 0; 55.70 deg, intensity 44.7, hkl 3 1 1; 58.41 deg, intensity 12.6, hkl 2 2 2; 68.58 deg, intensity 6.1, hkl 4 0 0